Record 1
ErBe: simulated XRD peak list (copper Kα), based on a crystal structure in Alexandria, relaxed with GGA-PBE.
Intensities are scaled so that the largest is 100.

```
data_ErBe
_chemical_formula_sum 'Er1 Be1'
_symmetry_space_group_name_H-M 'P m -3 m'
_symmetry_Int_Tables_number 221
_symmetry_space_group_name_Hall '-P 4 2 3'
_cell_length_a 3.374
_cell_length_b 3.374
_cell_length_c 3.374
_cell_angle_alpha 90.00
_cell_angle_beta 90.00
_cell_angle_gamma 90.00
loop_
_atom_site_label
_atom_site_type_symbol
_atom_site_fract_x
_atom_site_fract_y
_atom_site_fract_z
_atom_site_occupancy
Er1 Er 0.000 0.000 0.000 1
Be1 Be 0.500 0.500 0.500 1
```

Largest 6 diffraction maxima, in order of rising 2θ, 2θ = 5–70°:
(hkl)  two_theta  I/Imax
1 0 0  26.42  100
1 1 0  37.70  92
1 1 1  46.63  29
2 0 0  54.38  16
2 1 0  61.45  39
2 1 1  68.07  33

***

Record 2
ErBe13: simulated XRD peak list (copper Kα), based on a crystal structure in Alexandria, relaxed with GGA-PBE.
Intensities are scaled so that the largest is 100.

```
data_ErBe13
_chemical_formula_sum 'Er8 Be104'
_symmetry_space_group_name_H-M 'F m -3 c'
_symmetry_Int_Tables_number 226
_symmetry_space_group_name_Hall '-F 4a 2 3'
_cell_length_a 10.149
_cell_length_b 10.149
_cell_length_c 10.149
_cell_angle_alpha 90.00
_cell_angle_beta 90.00
_cell_angle_gamma 90.00
loop_
_atom_site_label
_atom_site_type_symbol
_atom_site_fract_x
_atom_site_fract_y
_atom_site_fract_z
_atom_site_occupancy
Er1 Er 0.250 0.250 0.250 1
Be1 Be 0.000 0.000 0.000 1
Be2 Be 0.000 0.114 0.177 1
```

Largest 8 diffraction maxima, in order of rising 2θ, 2θ = 5–70°:
(hkl)  two_theta  I/Imax
2 0 0  17.48  92
2 2 0  24.81  100
2 2 2  30.51  44
4 2 0  39.72  71
4 2 2  43.69  60
4 4 2  54.23  23
6 2 0  57.42  25
6 4 2  69.28  28

***

Record 3
Er3Be: simulated XRD peak list (copper Kα), based on a crystal structure in Alexandria, relaxed with GGA-PBE.
Intensities are scaled so that the largest is 100.

```
data_Er3Be
_chemical_formula_sum 'Er6 Be2'
_symmetry_space_group_name_H-M 'I m m m'
_symmetry_Int_Tables_number 71
_symmetry_space_group_name_Hall '-I 2 2'
_cell_length_a 3.548
_cell_length_b 5.103
_cell_length_c 11.040
_cell_angle_alpha 90.00
_cell_angle_beta 90.00
_cell_angle_gamma 90.00
loop_
_atom_site_label
_atom_site_type_symbol
_atom_site_fract_x
_atom_site_fract_y
_atom_site_fract_z
_atom_site_occupancy
Er1 Er 0.000 0.000 0.000 1
Er2 Er 0.000 0.500 0.206 1
Be1 Be 0.000 0.000 0.500 1
```

Largest 8 diffraction maxima, in order of rising 2θ, 2θ = 5–70°:
(hkl)  two_theta  I/Imax
1 0 1  26.38  31
0 1 3  29.94  60
1 1 2  34.82  100
0 2 0  35.17  32
1 0 5  48.57  32
2 1 3  60.73  16
1 2 5  61.37  23
1 3 2  62.88  18

***

Record 4
KErBeF6: simulated XRD peak list (copper Kα), based on a crystal structure in Alexandria, relaxed with GGA-PBE.
Intensities are scaled so that the largest is 100.

```
data_KErBeF6
_chemical_formula_sum 'K2 Er2 Be2 F12'
_symmetry_space_group_name_H-M 'P 1 21/m 1'
_symmetry_Int_Tables_number 11
_symmetry_space_group_name_Hall '-P 2yb'
_cell_length_a 6.413
_cell_length_b 5.811
_cell_length_c 7.100
_cell_angle_alpha 90.00
_cell_angle_beta 113.20
_cell_angle_gamma 90.00
loop_
_atom_site_label
_atom_site_type_symbol
_atom_site_fract_x
_atom_site_fract_y
_atom_site_fract_z
_atom_site_occupancy
K1 K 0.072 0.250 0.203 1
Er1 Er 0.391 0.250 0.823 1
Be1 Be 0.231 0.750 0.462 1
F1 F 0.006 0.750 0.264 1
F2 F 0.237 0.533 0.594 1
F3 F 0.321 0.502 0.033 1
F4 F 0.438 0.750 0.402 1
```

Largest 8 diffraction maxima, in order of rising 2θ, 2θ = 5–70°:
(hkl)  two_theta  I/Imax
1 0 0  15.03  51
1 0 -1  15.80  85
0 1 1  20.47  95
1 1 0  21.47  43
2 0 -1  27.88  39
1 1 1  28.56  100
1 1 -2  29.82  78
0 2 2  41.62  29